(1)
Starting from a structure optimized by DFT (GGA-PBE), the powder diffraction line list of KSnS2 was calculated for Cu Kα (λ = 1.5418 Å).
Neutral-atom scattering factors, no anomalous dispersion.

Principal peaks in the range 10° ≤ 2θ ≤ 80°, sorted by position:
2θ (°)  intensity
11.71  79.9
26.00  33.9
26.89  58.0
32.51  100.0
38.02  39.9
45.30  44.3
47.95  21.8
51.65  20.5
56.86  19.1
75.51  18.9

Structure:
```
4
Lattice="2.002 1.156 7.554 -2.002 1.156 7.554 0.000 -2.312 7.554" Properties=species:S:1:pos:R:3 pbc="T T T"
K 0.000 0.000 0.000
Sn 0.000 0.000 18.868
S 0.000 0.000 5.286
S 0.000 0.000 9.798
```



(2)
Starting from a structure optimized by DFT (GGA-PBE), the powder diffraction line list of Ti2ReRu was calculated for Cu Kα (λ = 1.5418 Å).
Neutral-atom scattering factors, no anomalous dispersion.

Principal peaks in the range 10° ≤ 2θ ≤ 80°, sorted by position:
2θ (°)  intensity
24.85  10.7
28.77  32.8
41.14  100.0
48.66  5.8
50.98  9.6
59.59  16.4
65.57  2.5
67.50  12.9
74.97  32.7

Structure:
```
4
Lattice="0.000 3.103 3.103 3.103 0.000 3.103 3.103 3.103 0.000" Properties=species:S:1:pos:R:3 pbc="T T T"
Ti 1.552 1.552 1.552
Ti 4.655 4.655 4.655
Re 0.000 0.000 0.000
Ru 3.103 3.103 3.103
```